Computed X-ray diffraction stick pattern of BaO10 for Cu Kα (λ = 1.5418 Å), from the PBE geometry in Alexandria.
Peak positions follow from Bragg's law for the DFT cell and can differ from measured ones.

Cell and atoms:
Unit cell a=5.8375 b=5.8375 c=10.2823 alpha=90.00 beta=90.00 gamma=90.00
Sites, in units of the cell vectors:
Ba (0.0000, 0.0000, 0.2500)
Ba (0.0000, 0.0000, 0.7500)
O (0.0516, 0.4034, 0.1004)
O (0.0516, 0.4034, 0.8996)
O (0.0516, 0.5966, 0.3996)
O (0.0516, 0.5966, 0.6004)
O (0.4034, 0.0516, 0.3996)
O (0.4034, 0.0516, 0.6004)
O (0.4034, 0.9484, 0.1004)
O (0.4034, 0.9484, 0.8996)
O (0.5000, 0.5000, 0.0598)
O (0.5000, 0.5000, 0.4402)
O (0.5000, 0.5000, 0.5598)
O (0.5000, 0.5000, 0.9402)
O (0.5966, 0.0516, 0.1004)
O (0.5966, 0.0516, 0.8996)
O (0.5966, 0.9484, 0.3996)
O (0.5966, 0.9484, 0.6004)
O (0.9484, 0.4034, 0.3996)
O (0.9484, 0.4034, 0.6004)
O (0.9484, 0.5966, 0.1004)
O (0.9484, 0.5966, 0.8996)

Main lines, most intense first (10° ≤ 2θ ≤ 90°):
d/Å  intensity
3.858  100
2.919  61
5.838  59
2.328  56
3.219  51
2.182  40
1.832  22
2.353  17